Entry 1:
# V3As2H4O13
Simulated X-ray diffraction stick pattern, Cu Ka. Input: DFT lattice parameters and positions (GGA+U).
Kinematic intensities with the Lorentz-polarization factor, no thermal factor.

Most intense lines, 2θ from 10° to 90°, by angle:
2θ (°)  Rel. int.
14.96  50
15.71  38
17.66  63
21.50  100
23.48  52
23.65  28
29.31  87
30.18  25
30.41  75
31.09  63
31.73  53
35.28  21

Structural model:
a = 5.2513 Å, b = 7.9904 Å, c = 12.6200 Å
α = 71.55°, β = 80.67°, γ = 85.65°
Space group P-1 (No. 2)
Inequivalent atoms, fractional coordinates:
V  0.0166  0.1847  0.1656 (multiplicity 2)
V  0.2514  0.7310  0.2593 (multiplicity 2)
V  0.4826  0.2915  0.3209 (multiplicity 2)
As  0.1835  0.3671  0.8860 (multiplicity 2)
As  0.3241  0.1347  0.6107 (multiplicity 2)
H  0.1553  0.5388  0.6093 (multiplicity 2)
H  0.2460  0.7138  0.5065 (multiplicity 2)
H  0.2497  0.7968  0.0014 (multiplicity 2)
H  0.3356  0.9765  0.8977 (multiplicity 2)
O  0.1065  0.2789  0.6549 (multiplicity 2)
O  0.1192  0.6812  0.1306 (multiplicity 2)
O  0.1670  0.9878  0.1742 (multiplicity 2)
O  0.1828  0.3453  0.0258 (multiplicity 2)
O  0.2318  0.6549  0.5895 (multiplicity 2)
O  0.2419  0.5889  0.8121 (multiplicity 2)
O  0.2574  0.9152  0.6903 (multiplicity 2)
O  0.2587  0.2526  0.2486 (multiplicity 2)
O  0.2702  0.8558  0.9177 (multiplicity 2)
O  0.3201  0.1529  0.4734 (multiplicity 2)
O  0.3312  0.5165  0.3276 (multiplicity 2)
O  0.3687  0.8261  0.3723 (multiplicity 2)
O  0.4079  0.2200  0.8478 (multiplicity 2)


Entry 2:
# VAs2H4O9
Simulated X-ray diffraction stick pattern, Cu Ka. Input: DFT lattice parameters and positions (GGA+U).
Kinematic intensities with the Lorentz-polarization factor, no thermal factor.

Most intense lines, 2θ from 10° to 90°, by angle:
2θ (°)  Rel. int.
18.79  21
21.64  84
23.68  100
26.69  59
28.81  52
29.91  30
34.61  35
40.89  61
52.04  36
61.53  21
69.59  20
74.65  21

Structural model:
a = 9.4476 Å, b = 9.4476 Å, c = 8.2136 Å
α = 90.00°, β = 90.00°, γ = 90.00°
Space group I4cm (No. 108)
Inequivalent atoms, fractional coordinates:
V  0.0000  0.0000  0.0000 (multiplicity 4)
As  0.2021  0.2979  0.4595 (multiplicity 8)
H  0.1359  0.3641  0.7259 (multiplicity 8)
H  0.1376  0.3624  0.1918 (multiplicity 8)
O  0.0000  0.0000  0.2015 (multiplicity 4)
O  0.1121  0.3879  0.6127 (multiplicity 8)
O  0.1131  0.3869  0.3048 (multiplicity 8)
O  0.1190  0.1781  0.9592 (multiplicity 16)


Entry 3:
# K2Mn3As3O12
Simulated X-ray diffraction stick pattern, Cu Ka. Input: DFT lattice parameters and positions (GGA+U).
Kinematic intensities with the Lorentz-polarization factor, no thermal factor.

Most intense lines, 2θ from 10° to 90°, by angle:
2θ (°)  Rel. int.
13.23  31
26.17  28
27.40  16
28.80  49
30.92  100
31.09  49
32.13  30
32.39  51
43.10  17
47.84  15
51.94  25
55.21  18

Structural model:
a = 12.5497 Å, b = 13.3809 Å, c = 7.0995 Å
α = 90.00°, β = 113.53°, γ = 90.00°
Space group C2/c (No. 15)
Inequivalent atoms, fractional coordinates:
K  0.0000  0.0000  0.0000 (multiplicity 4)
K  0.0000  0.4870  0.2500 (multiplicity 4)
Mn  0.0000  0.2384  0.7500 (multiplicity 4)
Mn  0.2219  0.3388  0.6352 (multiplicity 8)
As  0.0000  0.2228  0.2500 (multiplicity 4)
As  0.2375  0.3861  0.1249 (multiplicity 8)
O  0.0432  0.2931  0.4752 (multiplicity 8)
O  0.1066  0.1381  0.2638 (multiplicity 8)
O  0.1187  0.1130  0.8273 (multiplicity 8)
O  0.1569  0.3339  0.8853 (multiplicity 8)
O  0.1820  0.4958  0.6278 (multiplicity 8)
O  0.2189  0.3158  0.3176 (multiplicity 8)